This entry pairs a crystal structure of Cs2Zr2MnMo6O24 with its computed powder XRD pattern. Radiation: Cu Kα (λ = 1.5418 Å). Structure: a cell relaxed with GGA+U.

Lattice parameters (Å, degrees): 8.9008 9.0398 9.0843 99.83 100.01 100.00
Space group P-1 (No. 2)
One atom of each set of equivalent atoms:
Cs 0.1415 0.1786 0.1808 [2 per cell]
Zr 0.5000 0.0000 0.5000 [1 per cell]
Zr 0.5000 0.5000 0.0000 [1 per cell]
Mn 0.0000 0.5000 0.5000 [1 per cell]
Mo 0.2038 0.2182 0.6567 [2 per cell]
Mo 0.2131 0.6556 0.2061 [2 per cell]
Mo 0.3440 0.7982 0.7847 [2 per cell]
O 0.0393 0.1105 0.6967 [2 per cell]
O 0.0892 0.5556 0.3065 [2 per cell]
O 0.1028 0.7050 0.0509 [2 per cell]
O 0.1466 0.3357 0.5273 [2 per cell]
O 0.1702 0.6855 0.6623 [2 per cell]
O 0.2963 0.9539 0.8952 [2 per cell]
O 0.3130 0.0921 0.5592 [2 per cell]
O 0.3267 0.3402 0.8332 [2 per cell]
O 0.3334 0.5224 0.1381 [2 per cell]
O 0.3411 0.8276 0.3328 [2 per cell]
O 0.4389 0.6822 0.9049 [2 per cell]
O 0.4815 0.8655 0.6679 [2 per cell]

Top 8 peaks for 2θ = 5–70°, low angle first:
Position (°2θ)  intensity  (hkl)
20.77  22  0 2 -1
21.11  60  1 1 1
24.62  24  0 2 1
24.75  32  1 0 2
24.99  23  2 1 0
25.70  53  0 2 -2
25.90  100  2 0 -2
31.03  30  2 2 -1

---

This entry pairs a crystal structure of CsNaMnO2 with its computed powder XRD pattern. Radiation: Cu Kα (λ = 1.5418 Å). Structure: a cell relaxed with GGA+U.

Lattice parameters (Å, degrees): 5.7594 12.8584 5.8743 90.00 90.00 90.00
Space group Cmme (No. 67)
One atom of each set of equivalent atoms:
Cs 0.0000 0.2500 0.2048 [4 per cell]
Na 0.0000 0.0000 0.5000 [4 per cell]
Mn 0.2500 0.0000 0.0000 [4 per cell]
O 0.0000 0.0858 0.8200 [8 per cell]

Top 8 peaks for 2θ = 5–70°, low angle first:
Position (°2θ)  intensity  (hkl)
15.08  40  0 0 1
22.70  98  1 1 1
27.75  47  0 4 0
30.12  100  1 3 1
33.54  50  0 2 2
34.12  31  2 2 0
37.49  28  2 2 1
52.87  31  0 6 2